Entry 1:
Diffraction record for RbBaO2F. The powder X-ray diffraction pattern is computed, not measured: it uses DFT lattice parameters and positions (GGA-PBE) and Cu Kα (λ = 1.5418 Å).
Kinematic intensities with the Lorentz-polarization factor, no thermal factor.

Principal peaks in the range 2θ = 10–90°, by angle:
two_theta	I/Imax
24.75	100
25.15	51
35.87	36
43.33	24
44.07	43
50.76	25

Cell and atoms:
```
data_RbBaO2F
_cell_length_a 5.0074
_cell_length_b 5.0074
_cell_length_c 5.1720
_cell_angle_alpha 90.00
_cell_angle_beta 90.00
_cell_angle_gamma 90.00
_space_group_name_H-M_alt 'P 4/m m m'
_space_group_IT_number 123
_space_group_name_Hall '-P 4 2'
loop_
_atom_site_label
_atom_site_fract_x
_atom_site_fract_y
_atom_site_fract_z
Rb1 0.0000 0.0000 0.0000
Ba1 0.5000 0.5000 0.5000
O1 0.0000 0.5000 0.5000
F1 0.5000 0.5000 0.0000
```

Entry 2:
Diffraction record for Ba2S2O3F2. The powder X-ray diffraction pattern is computed, not measured: it uses DFT lattice parameters and positions (GGA-PBE) and Cu Kα (λ = 1.5418 Å).
Kinematic intensities with the Lorentz-polarization factor, no thermal factor.

Principal peaks in the range 2θ = 10–90°, by angle:
two_theta	I/Imax
23.79	90
24.89	100
25.18	81
25.91	88
27.93	65
39.80	65

Cell and atoms:
```
data_Ba2S2O3F2
_cell_length_a 4.5326
_cell_length_b 4.5980
_cell_length_c 9.0064
_cell_angle_alpha 99.72
_cell_angle_beta 103.75
_cell_angle_gamma 90.94
_space_group_name_H-M_alt 'P 1'
_space_group_IT_number 1
loop_
_space_group_symop_operation_xyz
'x,y,z'
loop_
_atom_site_label
_atom_site_fract_x
_atom_site_fract_y
_atom_site_fract_z
Ba1 0.0000 0.0000 0.0000
Ba2 0.3362 0.3852 0.6483
S1 0.5743 0.5841 0.1585
S2 0.6906 0.7855 0.4175
O1 0.3875 0.8646 0.4529
O2 0.5724 0.2327 0.1484
O3 0.7823 0.5068 0.4832
F1 0.4036 0.9352 0.8077
F2 0.9188 0.4382 0.8299
```

Entry 3:
Diffraction record for BaY2Si2O7F2. The powder X-ray diffraction pattern is computed, not measured: it uses DFT lattice parameters and positions (GGA-PBE) and Cu Kα (λ = 1.5418 Å).
Kinematic intensities with the Lorentz-polarization factor, no thermal factor.

Principal peaks in the range 2θ = 10–90°, by angle:
two_theta	I/Imax
26.06	64
27.15	100
27.88	58
28.02	44
30.03	49
34.09	59

Cell and atoms:
```
data_BaY2Si2O7F2
_cell_length_a 5.2663
_cell_length_b 6.9165
_cell_length_c 11.8235
_cell_angle_alpha 93.03
_cell_angle_beta 102.23
_cell_angle_gamma 110.79
_space_group_name_H-M_alt 'P -1'
_space_group_IT_number 2
loop_
_space_group_symop_operation_xyz
'x,y,z'
'-x,-y,-z'
loop_
_atom_site_label
_atom_site_fract_x
_atom_site_fract_y
_atom_site_fract_z
Ba1 0.0983 0.3862 0.2491
Y1 0.1802 0.2028 0.6225
Y2 0.3164 0.1930 0.9549
Si1 0.2688 0.9324 0.2184
Si2 0.3697 0.7497 0.5661
O1 0.0230 0.2677 0.7877
O2 0.1288 0.8549 0.5554
O3 0.1670 0.0550 0.1148
O4 0.2885 0.5518 0.6393
O5 0.3231 0.0760 0.3468
O6 0.4259 0.7007 0.4403
O7 0.4612 0.1284 0.7851
F1 0.2937 0.8279 0.9404
F2 0.3410 0.4787 0.0677
```

Copy entry 1 word for word.
Diffraction record for RbBaO2F. The powder X-ray diffraction pattern is computed, not measured: it uses DFT lattice parameters and positions (GGA-PBE) and Cu Kα (λ = 1.5418 Å).
Kinematic intensities with the Lorentz-polarization factor, no thermal factor.

Principal peaks in the range 2θ = 10–90°, by angle:
two_theta	I/Imax
24.75	100
25.15	51
35.87	36
43.33	24
44.07	43
50.76	25

Cell and atoms:
```
data_RbBaO2F
_cell_length_a 5.0074
_cell_length_b 5.0074
_cell_length_c 5.1720
_cell_angle_alpha 90.00
_cell_angle_beta 90.00
_cell_angle_gamma 90.00
_space_group_name_H-M_alt 'P 4/m m m'
_space_group_IT_number 123
_space_group_name_Hall '-P 4 2'
loop_
_atom_site_label
_atom_site_fract_x
_atom_site_fract_y
_atom_site_fract_z
Rb1 0.0000 0.0000 0.0000
Ba1 0.5000 0.5000 0.5000
O1 0.0000 0.5000 0.5000
F1 0.5000 0.5000 0.0000
```